Structure and theoretical XRD peak list of CrH12C8F8 (a DFT-relaxed cell (PBE+U, Alexandria); Cu Kα (λ = 1.5418 Å)).

Atomic structure:
Cell lengths 8.173, 8.173, 8.173 Å; angles 60.00, 60.00, 60.00 degrees
Element x y z (fractional)
Cr (0.000, 0.000, 0.000)
H (0.000, 0.000, 0.232)
H (0.000, 0.000, 0.768)
H (0.000, 0.232, 0.000)
H (0.000, 0.232, 0.768)
H (0.000, 0.768, 0.000)
H (0.000, 0.768, 0.232)
H (0.232, 0.000, 0.000)
H (0.232, 0.000, 0.768)
H (0.232, 0.768, 0.000)
H (0.768, 0.000, 0.000)
H (0.768, 0.000, 0.232)
H (0.768, 0.232, 0.000)
C (0.174, 0.174, 0.826)
C (0.174, 0.826, 0.174)
C (0.174, 0.826, 0.826)
C (0.250, 0.250, 0.250)
C (0.750, 0.750, 0.750)
C (0.826, 0.174, 0.174)
C (0.826, 0.174, 0.826)
C (0.826, 0.826, 0.174)
F (0.049, 0.317, 0.317)
F (0.317, 0.049, 0.317)
F (0.317, 0.317, 0.049)
F (0.317, 0.317, 0.317)
F (0.683, 0.683, 0.683)
F (0.683, 0.683, 0.951)
F (0.683, 0.951, 0.683)
F (0.951, 0.683, 0.683)

Most intense lines, 2θ from 10° to 90°, by angle:
two_theta  I_rel
13.27  83
15.33  6
21.75  100
25.56  35
30.95  7
40.55  16
46.48  23
47.18  12
61.64  12
68.94  6